[1]
Diffraction record for TmFe2O4. The powder X-ray diffraction pattern is calculated, not measured: it uses the PBE+U geometry in the Materials Project and Cu Kα (λ = 1.5418 Å).
Peak positions follow from Bragg's law for the DFT cell and can differ from measured ones.

The 8 most intense peaks (10° ≤ 2θ ≤ 90°), by angle:
2θ 10.45, rel. 66; 2θ 20.98, rel. 40; 2θ 29.92, rel. 100; 2θ 31.70, rel. 48; 2θ 32.95, rel. 89; 2θ 34.66, rel. 76; 2θ 46.81, rel. 46; 2θ 52.72, rel. 54

abc: 3.4726 3.4726 25.4022
angles: 90.00 90.00 120.00
Space group R-3m (No. 166, hexagonal axes)
Asymmetric unit:
Tm  0.0000  0.0000  0.0000
Fe  0.0000  0.0000  0.2140
O  0.0000  0.0000  0.1283
O  0.0000  0.0000  0.2924

***

[2]
Diffraction record for CoMoO4. The powder X-ray diffraction pattern is calculated, not measured: it uses the PBE+U geometry in the Materials Project and Cu Kα (λ = 1.5418 Å).
Peak positions follow from Bragg's law for the DFT cell and can differ from measured ones.

The 8 most intense peaks (10° ≤ 2θ ≤ 90°), by angle:
2θ 25.62, rel. 92; 2θ 31.29, rel. 97; 2θ 31.42, rel. 100; 2θ 35.99, rel. 33; 2θ 37.36, rel. 47; 2θ 54.07, rel. 29; 2θ 55.93, rel. 34; 2θ 56.09, rel. 30

abc: 4.491 5.496 4.992
angles: 90.00 90.31 90.00
Space group P2/c (No. 13)
Asymmetric unit:
Co  0.000  0.138  0.250
Mo  0.500  0.334  0.750
O  0.224  0.112  0.581
O  0.263  0.377  0.087

***

[3]
Diffraction record for Li3VFeP2H2O10. The powder X-ray diffraction pattern is calculated, not measured: it uses the PBE+U geometry in the Materials Project and Cu Kα (λ = 1.5418 Å).
Peak positions follow from Bragg's law for the DFT cell and can differ from measured ones.

The 8 most intense peaks (10° ≤ 2θ ≤ 90°), by angle:
2θ 17.33, rel. 31; 2θ 17.90, rel. 80; 2θ 25.49, rel. 29; 2θ 26.00, rel. 75; 2θ 26.46, rel. 100; 2θ 27.49, rel. 93; 2θ 36.03, rel. 37; 2θ 54.49, rel. 33

abc: 5.354 5.445 7.533
angles: 106.16 108.68 95.63
Space group P1 (No. 1)
Asymmetric unit:
Li  0.000  0.000  0.000
Li  0.228  0.540  0.682
Li  0.670  0.703  0.042
V  0.473  0.137  0.357
Fe  0.460  0.132  0.843
P  0.137  0.508  0.077
P  0.786  0.760  0.615
H  0.120  0.079  0.502
H  0.796  0.215  0.205
O  0.083  0.872  0.763
O  0.154  0.803  0.183
O  0.209  0.341  0.218
O  0.302  0.188  0.562
O  0.326  0.484  0.956
O  0.605  0.786  0.743
O  0.631  0.078  0.135
O  0.719  0.917  0.469
O  0.775  0.470  0.506
O  0.839  0.395  0.943